Entry 1:
Ce8U2O21: computed powder diffractogram (a wavelength of 1.5418 Å), based on a structure optimized by DFT (GGA-PBE).
Intensities are scaled so that the largest is 100.

Top 10 peaks for 15° ≤ 2θ ≤ 90°, sorted by position:
- 28.41°, I 100.0, (1 5 1)
- 32.92°, I 33.0, (2 0 0)
- 47.25°, I 54.8, (2 0 2)
- 56.04°, I 15.2, (1 5 3)
- 56.06°, I 29.9, (3 5 1)
- 58.78°, I 9.4, (2 10 2)
- 69.04°, I 8.3, (4 0 0)
- 76.28°, I 18.3, (3 5 3)
- 78.62°, I 6.5, (2 0 4)
- 87.91°, I 17.4, (4 10 2)

Atomic structure:
```
data_Ce8U2O21
_cell_length_a 5.440
_cell_length_b 27.205
_cell_length_c 5.443
_cell_angle_alpha 90.00
_cell_angle_beta 90.00
_cell_angle_gamma 90.00
_symmetry_space_group_name_H-M 'C m m m'
_symmetry_Int_Tables_number 65
_symmetry_space_group_name_Hall '-C 2 2'
loop_
_atom_site_label
_atom_site_fract_x
_atom_site_fract_y
_atom_site_fract_z
Ce1 0.000 0.097 0.000
Ce2 0.000 0.200 0.500
Ce3 0.000 0.300 0.000
Ce4 0.000 0.397 0.500
U1 0.000 0.000 0.500
U2 0.000 0.500 0.000
O1 0.000 0.000 0.000
O2 0.236 0.451 0.264
O3 0.248 0.150 0.248
O4 0.250 0.250 0.250
```

=====

Entry 2:
Zn2Pd: computed powder diffractogram (a wavelength of 1.5418 Å), based on a structure optimized by DFT (GGA-PBE).
Intensities are scaled so that the largest is 100.

Top 10 peaks for 15° ≤ 2θ ≤ 90°, sorted by position:
- 40.35°, I 100.0, (2 2 3)
- 44.08°, I 20.4, (0 0 6)
- 47.93°, I 13.6, (0 4 0)
- 48.71°, I 13.3, (4 0 0)
- 67.15°, I 9.3, (0 4 6)
- 67.78°, I 9.3, (4 0 6)
- 78.54°, I 12.3, (2 2 9)
- 84.14°, I 7.6, (2 6 3)
- 85.31°, I 7.9, (6 2 3)
- 87.24°, I 7.6, (4 4 6)

Atomic structure:
```
data_Zn2Pd
_cell_length_a 7.478
_cell_length_b 7.592
_cell_length_c 12.325
_cell_angle_alpha 90.00
_cell_angle_beta 90.00
_cell_angle_gamma 90.00
_symmetry_space_group_name_H-M 'C m m 2'
_symmetry_Int_Tables_number 35
_symmetry_space_group_name_Hall 'C 2 -2'
loop_
_atom_site_label
_atom_site_fract_x
_atom_site_fract_y
_atom_site_fract_z
Zn1 0.000 0.000 0.000
Zn2 0.000 0.000 0.336
Zn3 0.000 0.000 0.662
Zn4 0.000 0.278 0.841
Zn5 0.000 0.500 0.670
Zn6 0.218 0.500 0.163
Zn7 0.222 0.500 0.498
Zn8 0.250 0.250 0.000
Zn9 0.250 0.250 0.333
Zn10 0.250 0.250 0.666
Pd1 0.000 0.213 0.172
Pd2 0.000 0.224 0.500
Pd3 0.000 0.500 0.002
Pd4 0.000 0.500 0.330
Pd5 0.219 0.000 0.826
```

=====

Entry 3:
LiSm2Br5: computed powder diffractogram (a wavelength of 1.5418 Å), based on a structure optimized by DFT (GGA-PBE).
Intensities are scaled so that the largest is 100.

Top 10 peaks for 15° ≤ 2θ ≤ 90°, sorted by position:
- 18.10°, I 57.1, (1 1 1)
- 30.05°, I 100.0, (3 1 -2)
- 30.41°, I 33.3, (5 1 0)
- 30.57°, I 51.6, (2 2 1)
- 31.57°, I 42.1, (3 1 2)
- 31.88°, I 71.7, (5 1 -1)
- 32.52°, I 44.5, (4 0 2)
- 35.54°, I 38.9, (4 2 -1)
- 36.50°, I 58.5, (1 1 -3)
- 37.16°, I 38.0, (1 1 3)

Atomic structure:
```
data_LiSm2Br5
_cell_length_a 16.273
_cell_length_b 6.902
_cell_length_c 7.944
_cell_angle_alpha 90.00
_cell_angle_beta 93.53
_cell_angle_gamma 90.00
_symmetry_space_group_name_H-M 'C 1 2/c 1'
_symmetry_Int_Tables_number 15
_symmetry_space_group_name_Hall '-C 2yc'
loop_
_atom_site_label
_atom_site_fract_x
_atom_site_fract_y
_atom_site_fract_z
Li1 0.250 0.250 0.000
Sm1 0.076 0.187 0.574
Br1 0.000 0.127 0.250
Br2 0.090 0.400 0.907
Br3 0.208 0.056 0.336
```